The following is a calculated X-ray diffraction stick pattern of MnNi3O4. It was derived from a DFT-relaxed cell (GGA+U, Alexandria), using Cu Kα X-rays.
Peak positions follow from Bragg's law for the DFT cell and can differ from measured ones.

Unit cell a=6.0643 b=8.5915 c=3.0448 alpha=90.00 beta=90.00 gamma=90.00
Space group Cmmm (No. 65)
Symmetry-distinct sites (fractional):
Mn 0.0000 0.0000 0.0000 x2
Ni 0.0000 0.5000 0.0000 x2
Ni 0.2500 0.2500 0.5000 x4
O 0.0000 0.2557 0.0000 x4
O 0.2397 0.5000 0.5000 x4

Largest 7 diffraction maxima, by angle, 2θ = 5–70°:
hkl 1 1 0, 17.9°, I 1; hkl 0 2 1, 36.2°, I 36; hkl 2 2 0, 36.3°, I 36; hkl 2 0 1, 42.1°, I 100; hkl 0 0 2, 60.8°, I 10; hkl 2 4 1, 61.0°, I 39; hkl 4 0 0, 61.1°, I 10